1.
Computed powder diffractogram
Compound: Zr3Ni3Bi4
Radiation: Cu Ka
Structure: a DFT-relaxed cell (PBE, OQMD)
Peak positions follow from Bragg's law for the DFT cell and can differ from measured ones.

Crystal structure
Cell: 8.117 8.117 8.117 Å, 109.47 109.47 109.47°
Fractional positions:
Zr1 0.125 0.750 0.875
Zr2 0.250 0.625 0.375
Zr3 0.375 0.250 0.625
Zr4 0.625 0.375 0.250
Zr5 0.750 0.875 0.125
Zr6 0.875 0.125 0.750
Ni1 0.125 0.875 0.250
Ni2 0.250 0.125 0.875
Ni3 0.375 0.625 0.750
Ni4 0.625 0.750 0.375
Ni5 0.750 0.375 0.625
Ni6 0.875 0.250 0.125
Bi1 0.000 0.330 0.500
Bi2 0.000 0.830 0.500
Bi3 0.170 0.170 0.170
Bi4 0.330 0.500 0.000
Bi5 0.500 0.000 0.330
Bi6 0.500 0.000 0.830
Bi7 0.670 0.670 0.670
Bi8 0.830 0.500 0.000

Top 10 peaks for 2θ from 10° to 80°, sorted by position:
d_spacing  Position (°2θ)  intensity
3.826  23.2  24.0
2.964  30.2  46.3
2.505  35.8  100.0
2.096  43.2  11.4
1.913  47.5  26.1
1.838  49.6  25.0
1.520  60.9  14.2
1.482  62.7  12.0
1.446  64.4  10.3
1.325  71.1  11.7

***

2.
Computed powder diffractogram
Compound: Nd2I2BrN
Radiation: Cu Ka
Structure: a DFT-relaxed cell (PBE, OQMD)
Peak positions follow from Bragg's law for the DFT cell and can differ from measured ones.

Crystal structure
Cell: 9.925 9.925 12.250 Å, 124.47 124.47 23.83°
Fractional positions:
Nd1 0.074 0.074 0.460
Nd2 0.364 0.364 0.215
Nd3 0.636 0.636 0.785
Nd4 0.926 0.926 0.540
I1 0.273 0.273 0.370
I2 0.463 0.463 0.769
I3 0.537 0.537 0.231
I4 0.727 0.727 0.630
Br1 0.172 0.172 0.004
Br2 0.828 0.828 0.996
N1 0.074 0.074 0.652
N2 0.926 0.926 0.348

Top 10 peaks for 2θ from 10° to 80°, sorted by position:
d_spacing  Position (°2θ)  intensity
3.517  25.3  63.7
3.461  25.7  26.4
3.353  26.6  39.2
3.056  29.2  36.1
3.021  29.6  56.3
2.909  30.7  100.0
2.676  33.5  47.2
2.286  39.4  33.1
2.205  40.9  30.8
2.049  44.2  32.3

***

3.
Computed powder diffractogram
Compound: CuAg4
Radiation: Cu Ka
Structure: a DFT-relaxed cell (PBE, OQMD)
Peak positions follow from Bragg's law for the DFT cell and can differ from measured ones.

Crystal structure
Cell: 2.904 4.007 14.412 Å, 90.00 90.00 90.00°
Fractional positions:
Cu1 0.000 0.000 0.092
Cu2 0.000 0.000 0.908
Ag1 0.000 0.000 0.291
Ag2 0.000 0.000 0.500
Ag3 0.000 0.000 0.709
Ag4 0.500 0.500 0.000
Ag5 0.500 0.500 0.190
Ag6 0.500 0.500 0.396
Ag7 0.500 0.500 0.604
Ag8 0.500 0.500 0.810

Top 10 peaks for 2θ from 10° to 80°, sorted by position:
d_spacing  Position (°2θ)  intensity
2.351  38.3  100.0
2.340  38.5  93.7
2.046  44.3  61.9
2.003  45.3  30.4
1.452  64.1  10.1
1.431  65.2  36.6
1.234  77.3  22.0
1.229  77.7  18.6
1.213  78.9  11.0
1.212  79.0  10.4

***

4.
Computed powder diffractogram
Compound: Cs2CdI4
Radiation: Cu Ka
Structure: a DFT-relaxed cell (PBE, OQMD)
Peak positions follow from Bragg's law for the DFT cell and can differ from measured ones.

Crystal structure
Cell: 8.065 8.473 11.219 Å, 90.00 110.06 90.00°
Fractional positions:
Cs1 0.196 0.000 0.034
Cs2 0.303 0.003 0.591
Cs3 0.697 0.503 0.409
Cs4 0.804 0.500 0.966
Cd1 0.189 0.504 0.777
Cd2 0.811 0.004 0.223
I1 0.038 0.740 0.285
I2 0.041 0.266 0.287
I3 0.356 0.506 0.045
I4 0.426 0.502 0.645
I5 0.574 0.002 0.355
I6 0.644 0.006 0.955
I7 0.959 0.766 0.713
I8 0.962 0.240 0.715

Top 10 peaks for 2θ from 10° to 80°, sorted by position:
d_spacing  Position (°2θ)  intensity
4.236  21.0  43.3
3.763  23.6  53.3
3.744  23.8  75.5
3.698  24.1  65.4
3.439  25.9  44.5
3.425  26.0  61.6
3.299  27.0  100.0
2.824  31.7  45.2
2.805  31.9  47.2
2.254  40.0  41.9

***

5.
Computed powder diffractogram
Compound: LaNdBi4Pt2
Radiation: Cu Ka
Structure: a DFT-relaxed cell (PBE, OQMD)
Peak positions follow from Bragg's law for the DFT cell and can differ from measured ones.

Crystal structure
Cell: 4.716 4.716 9.716 Å, 90.00 90.00 90.00°
Fractional positions:
La1 0.000 0.000 0.000
Nd1 0.500 0.500 0.547
Bi1 0.000 0.000 0.601
Bi2 0.000 0.500 0.276
Bi3 0.500 0.000 0.276
Bi4 0.500 0.500 0.939
Pt1 0.000 0.500 0.770
Pt2 0.500 0.000 0.770

Top 10 peaks for 2θ from 10° to 80°, sorted by position:
d_spacing  Position (°2θ)  intensity
3.384  26.3  7.5
3.239  27.5  7.4
2.749  32.6  100.0
2.429  37.0  7.7
2.358  38.2  44.4
2.323  38.8  9.9
1.963  46.2  13.1
1.692  54.2  10.4
1.667  55.1  15.6
1.426  65.5  27.7

***

6.
Computed powder diffractogram
Compound: Cs2CuAuBr6
Radiation: Cu Ka
Structure: a DFT-relaxed cell (PBE, OQMD)
Peak positions follow from Bragg's law for the DFT cell and can differ from measured ones.

Crystal structure
Cell: 7.585 7.585 7.585 Å, 60.00 60.00 60.00°
Fractional positions:
Cs1 0.250 0.250 0.250
Cs2 0.750 0.750 0.750
Cu1 0.000 0.000 0.000
Au1 0.500 0.500 0.500
Br1 0.244 0.244 0.756
Br2 0.244 0.756 0.244
Br3 0.244 0.756 0.756
Br4 0.756 0.244 0.244
Br5 0.756 0.244 0.756
Br6 0.756 0.756 0.244

Top 10 peaks for 2θ from 10° to 80°, sorted by position:
d_spacing  Position (°2θ)  intensity
5.363  16.5  15.6
3.793  23.5  62.0
3.097  28.8  45.0
2.682  33.4  100.0
2.190  41.2  28.4
1.896  48.0  70.9
1.696  54.1  13.2
1.617  56.9  18.4
1.548  59.7  24.3
1.433  65.1  15.0

***

7.
Computed powder diffractogram
Compound: TlAg3SnTe4
Radiation: Cu Ka
Structure: a DFT-relaxed cell (PBE, OQMD)
Peak positions follow from Bragg's law for the DFT cell and can differ from measured ones.

Crystal structure
Cell: 6.702 8.226 10.776 Å, 90.00 105.16 90.00°
Fractional positions:
Tl1 0.231 0.250 0.058
Tl2 0.769 0.750 0.942
Ag1 0.215 0.058 0.527
Ag2 0.215 0.442 0.527
Ag3 0.329 0.250 0.766
Ag4 0.671 0.750 0.234
Ag5 0.785 0.558 0.473
Ag6 0.785 0.942 0.473
Sn1 0.206 0.750 0.285
Sn2 0.794 0.250 0.715
Te1 0.057 0.524 0.736
Te2 0.057 0.976 0.736
Te3 0.300 0.750 0.047
Te4 0.479 0.750 0.538
Te5 0.521 0.250 0.462
Te6 0.700 0.250 0.953
Te7 0.943 0.024 0.264
Te8 0.943 0.476 0.264

Top 10 peaks for 2θ from 10° to 80°, sorted by position:
d_spacing  Position (°2θ)  intensity
6.457  13.7  48.2
3.825  23.3  65.1
3.618  24.6  58.5
3.471  25.7  70.5
3.440  25.9  55.2
2.933  30.5  70.8
2.666  33.6  49.5
2.600  34.5  56.2
2.360  38.1  100.0
2.287  39.4  66.4

***

8.
Computed powder diffractogram
Compound: Li4Tl2CdAg
Radiation: Cu Ka
Structure: a DFT-relaxed cell (PBE, OQMD)
Peak positions follow from Bragg's law for the DFT cell and can differ from measured ones.

Crystal structure
Cell: 4.728 4.728 6.696 Å, 90.00 90.00 90.00°
Fractional positions:
Li1 0.000 0.000 0.000
Li2 0.000 0.500 0.244
Li3 0.500 0.000 0.756
Li4 0.500 0.500 0.500
Tl1 0.000 0.500 0.760
Tl2 0.500 0.000 0.240
Cd1 0.000 0.000 0.500
Ag1 0.500 0.500 0.000

Top 10 peaks for 2θ from 10° to 80°, sorted by position:
d_spacing  Position (°2θ)  intensity
3.862  23.0  100.0
3.345  26.7  7.4
2.365  38.0  87.2
2.017  44.9  51.6
1.672  54.9  14.9
1.535  60.3  21.4
1.496  62.0  3.3
1.366  68.7  30.0
1.288  73.5  7.7
1.287  73.6  8.1

***

9.
Computed powder diffractogram
Compound: Cu7Ag3
Radiation: Cu Ka
Structure: a DFT-relaxed cell (PBE, OQMD)
Peak positions follow from Bragg's law for the DFT cell and can differ from measured ones.

Crystal structure
Cell: 4.657 4.674 7.094 Å, 102.85 109.00 99.28°
Fractional positions:
Cu1 0.000 0.000 0.000
Cu2 0.004 0.494 0.488
Cu3 0.195 0.586 0.196
Cu4 0.610 0.780 0.596
Cu5 0.631 0.299 0.106
Cu6 0.808 0.877 0.296
Cu7 0.812 0.396 0.807
Ag1 0.195 0.088 0.696
Ag2 0.413 0.697 0.908
Ag3 0.416 0.187 0.392

Top 10 peaks for 2θ from 10° to 80°, sorted by position:
d_spacing  Position (°2θ)  intensity
3.204  27.8  2.5
3.007  29.7  2.7
2.202  41.0  34.0
2.195  41.1  100.0
1.911  47.6  22.0
1.902  47.8  20.9
1.894  48.0  20.5
1.349  69.7  12.6
1.347  69.8  6.1
1.342  70.1  18.2

***

10.
Computed powder diffractogram
Compound: NdNiSnAsPd
Radiation: Cu Ka
Structure: a DFT-relaxed cell (PBE, OQMD)
Peak positions follow from Bragg's law for the DFT cell and can differ from measured ones.

Crystal structure
Cell: 4.434 4.434 10.000 Å, 90.00 90.00 90.00°
Fractional positions:
Nd1 0.250 0.250 0.228
Nd2 0.750 0.750 0.772
Ni1 0.250 0.250 0.906
Ni2 0.750 0.750 0.094
Sn1 0.250 0.250 0.651
Sn2 0.750 0.750 0.349
As1 0.250 0.750 0.000
As2 0.750 0.250 0.000
Pd1 0.250 0.750 0.500
Pd2 0.750 0.250 0.500

Top 10 peaks for 2θ from 10° to 80°, sorted by position:
d_spacing  Position (°2θ)  intensity
3.135  28.5  14.1
2.664  33.6  46.4
2.656  33.7  100.0
2.217  40.7  69.2
2.178  41.5  19.1
1.955  46.5  14.8
1.823  50.0  14.1
1.704  53.8  24.0
1.568  58.9  23.1
1.350  69.6  29.8

***

11.
Computed powder diffractogram
Compound: YTm2Al2Cd4
Radiation: Cu Ka
Structure: a DFT-relaxed cell (PBE, OQMD)
Peak positions follow from Bragg's law for the DFT cell and can differ from measured ones.

Crystal structure
Cell: 4.537 7.264 7.264 Å, 120.25 90.00 90.00°
Fractional positions:
Y1 0.000 0.000 0.000
Tm1 0.000 0.431 0.863
Tm2 0.000 0.863 0.431
Al1 0.500 0.099 0.763
Al2 0.500 0.763 0.099
Cd1 0.000 0.435 0.435
Cd2 0.500 0.180 0.432
Cd3 0.500 0.432 0.180
Cd4 0.500 0.683 0.683

Top 10 peaks for 2θ from 10° to 80°, sorted by position:
d_spacing  Position (°2θ)  intensity
6.275  14.1  15.5
3.137  28.4  16.0
2.833  31.6  80.0
2.583  34.7  100.0
2.378  37.8  31.7
2.369  38.0  10.7
2.269  39.7  29.4
1.641  56.0  19.9
1.375  68.2  16.9
1.363  68.9  13.2